Record 1
Theoretical powder X-ray diffraction pattern
Compound: LiY
Radiation: a wavelength of 1.5418 Å
Structure: a structure optimized by DFT (GGA-PBE)
Peak positions follow from Bragg's law for the DFT cell and can differ from measured ones.

Crystal structure
a = 6.007 Å, b = 6.007 Å, c = 5.463 Å
α = 109.85°, β = 109.85°, γ = 34.26°
Fractional coordinates of all 4 atoms:
Li 0.153 0.153 0.371
Li 0.847 0.847 0.629
Y 0.392 0.392 0.167
Y 0.608 0.608 0.833

Principal peaks in the range 10° ≤ 2θ ≤ 90°, in order of rising 2θ:
d = 5.107 Å, rel. 51.6
d = 4.606 Å, rel. 92.7
d = 3.361 Å, rel. 99.2
d = 3.178 Å, rel. 66.2
d = 2.674 Å, rel. 92.5
d = 2.520 Å, rel. 100.0

---

Record 2
Theoretical powder X-ray diffraction pattern
Compound: AcPmSm4Er2
Radiation: a wavelength of 1.5418 Å
Structure: a structure optimized by DFT (GGA-PBE)
Peak positions follow from Bragg's law for the DFT cell and can differ from measured ones.

Crystal structure
a = 6.315 Å, b = 6.315 Å, c = 10.357 Å
α = 114.24°, β = 114.24°, γ = 48.13°
Fractional coordinates of all 8 atoms:
Ac 0.000 0.000 0.000
Pm 0.000 0.000 0.500
Sm 0.248 0.248 0.870
Sm 0.251 0.251 0.378
Sm 0.749 0.749 0.622
Sm 0.752 0.752 0.130
Er 0.499 0.499 0.255
Er 0.501 0.501 0.745

Principal peaks in the range 10° ≤ 2θ ≤ 90°, in order of rising 2θ:
d = 2.979 Å, rel. 100.0
d = 2.589 Å, rel. 17.0
d = 2.575 Å, rel. 33.8
d = 1.826 Å, rel. 24.3
d = 1.560 Å, rel. 14.5
d = 1.554 Å, rel. 29.0

---

Record 3
Theoretical powder X-ray diffraction pattern
Compound: BeAlPd4
Radiation: a wavelength of 1.5418 Å
Structure: a structure optimized by DFT (GGA-PBE)
Peak positions follow from Bragg's law for the DFT cell and can differ from measured ones.

Crystal structure
a = 6.862 Å, b = 2.881 Å, c = 16.681 Å
α = 90.00°, β = 90.00°, γ = 90.00°
Fractional coordinates of all 24 atoms:
Be 0.247 0.250 0.048
Be 0.253 0.750 0.548
Be 0.747 0.250 0.452
Be 0.753 0.750 0.952
Al 0.224 0.250 0.817
Al 0.276 0.750 0.317
Al 0.724 0.250 0.683
Al 0.776 0.750 0.183
Pd 0.015 0.750 0.430
Pd 0.031 0.750 0.715
Pd 0.122 0.750 0.945
Pd 0.146 0.750 0.153
Pd 0.354 0.250 0.653
Pd 0.378 0.250 0.445
Pd 0.469 0.250 0.215
Pd 0.485 0.250 0.930
Pd 0.515 0.750 0.070
Pd 0.531 0.750 0.785
Pd 0.622 0.750 0.555
Pd 0.646 0.750 0.347
Pd 0.854 0.250 0.847
Pd 0.878 0.250 0.055
Pd 0.969 0.250 0.285
Pd 0.985 0.250 0.570

Principal peaks in the range 10° ≤ 2θ ≤ 90°, in order of rising 2θ:
d = 3.564 Å, rel. 28.0
d = 2.392 Å, rel. 27.1
d = 2.266 Å, rel. 31.6
d = 2.241 Å, rel. 100.0
d = 2.206 Å, rel. 34.7
d = 2.051 Å, rel. 26.3

---

Record 4
Theoretical powder X-ray diffraction pattern
Compound: PaTi3O8
Radiation: a wavelength of 1.5418 Å
Structure: a structure optimized by DFT (GGA-PBE)
Peak positions follow from Bragg's law for the DFT cell and can differ from measured ones.

Crystal structure
a = 6.714 Å, b = 6.714 Å, c = 6.755 Å
α = 104.63°, β = 104.63°, γ = 34.70°
Fractional coordinates of all 12 atoms:
Pa 0.000 0.000 0.000
Ti 0.112 0.112 0.590
Ti 0.299 0.299 0.990
Ti 0.407 0.407 0.559
O 0.080 0.080 0.310
O 0.149 0.149 0.918
O 0.263 0.263 0.654
O 0.355 0.355 0.286
O 0.449 0.449 0.920
O 0.567 0.567 0.599
O 0.829 0.829 0.997
O 0.944 0.944 0.633

Principal peaks in the range 10° ≤ 2θ ≤ 90°, in order of rising 2θ:
d = 6.515 Å, rel. 86.9
d = 6.180 Å, rel. 100.0
d = 3.809 Å, rel. 81.7
d = 3.258 Å, rel. 71.5
d = 3.177 Å, rel. 47.4
d = 3.131 Å, rel. 42.5

---

Record 5
Theoretical powder X-ray diffraction pattern
Compound: TbPm3Th3
Radiation: a wavelength of 1.5418 Å
Structure: a structure optimized by DFT (GGA-PBE)
Peak positions follow from Bragg's law for the DFT cell and can differ from measured ones.

Crystal structure
a = 9.590 Å, b = 9.590 Å, c = 5.895 Å
α = 90.00°, β = 90.00°, γ = 120.00°
Fractional coordinates of all 14 atoms:
Tb 0.333 0.667 0.250
Tb 0.667 0.333 0.750
Pm 0.044 0.243 0.250
Pm 0.199 0.956 0.250
Pm 0.243 0.199 0.750
Pm 0.757 0.801 0.250
Pm 0.801 0.044 0.750
Pm 0.956 0.757 0.750
Th 0.104 0.490 0.750
Th 0.385 0.896 0.750
Th 0.490 0.385 0.250
Th 0.510 0.615 0.750
Th 0.615 0.104 0.250
Th 0.896 0.510 0.250

Principal peaks in the range 10° ≤ 2θ ≤ 90°, in order of rising 2θ:
d = 3.139 Å, rel. 23.2
d = 2.947 Å, rel. 26.4
d = 2.771 Å, rel. 100.0
d = 1.812 Å, rel. 19.0
d = 1.665 Å, rel. 22.2
d = 1.544 Å, rel. 22.4

---

Record 6
Theoretical powder X-ray diffraction pattern
Compound: AcHgPd3Au
Radiation: a wavelength of 1.5418 Å
Structure: a structure optimized by DFT (GGA-PBE)
Peak positions follow from Bragg's law for the DFT cell and can differ from measured ones.

Crystal structure
a = 7.722 Å, b = 7.722 Å, c = 6.061 Å
α = 90.00°, β = 90.00°, γ = 134.09°
Fractional coordinates of all 12 atoms:
Ac 0.168 0.832 0.750
Ac 0.832 0.168 0.250
Hg 0.389 0.611 0.750
Hg 0.611 0.389 0.250
Pd 0.227 0.227 0.000
Pd 0.227 0.227 0.500
Pd 0.354 0.646 0.250
Pd 0.646 0.354 0.750
Pd 0.773 0.773 0.000
Pd 0.773 0.773 0.500
Au 0.154 0.846 0.250
Au 0.846 0.154 0.750

Principal peaks in the range 10° ≤ 2θ ≤ 90°, in order of rising 2θ:
d = 3.030 Å, rel. 39.0
d = 3.011 Å, rel. 39.8
d = 2.788 Å, rel. 37.5
d = 2.306 Å, rel. 80.1
d = 2.298 Å, rel. 77.3
d = 2.136 Å, rel. 100.0

---

Record 7
Theoretical powder X-ray diffraction pattern
Compound: TmGe2PdRh
Radiation: a wavelength of 1.5418 Å
Structure: a structure optimized by DFT (GGA-PBE)
Peak positions follow from Bragg's law for the DFT cell and can differ from measured ones.

Crystal structure
a = 5.953 Å, b = 5.953 Å, c = 5.953 Å
α = 139.26°, β = 139.26°, γ = 58.98°
Fractional coordinates of all 5 atoms:
Tm 0.000 0.000 0.000
Ge 0.383 0.383 0.000
Ge 0.617 0.617 0.000
Pd 0.250 0.750 0.500
Rh 0.750 0.250 0.500

Principal peaks in the range 10° ≤ 2θ ≤ 90°, in order of rising 2θ:
d = 2.654 Å, rel. 46.7
d = 2.551 Å, rel. 100.0
d = 2.072 Å, rel. 49.0
d = 1.854 Å, rel. 21.8
d = 1.633 Å, rel. 21.6
d = 1.271 Å, rel. 21.9